No. 1
Diffraction record for LiSmPd. The powder XRD pattern is theoretical, not measured: it uses a PBE-relaxed structure and Cu Kα, 1.54184 Å.
Neutral-atom scattering factors, no anomalous dispersion.

Structure:
a = 6.295 Å, b = 6.295 Å, c = 5.654 Å
α = 90.00°, β = 90.00°, γ = 120.00°
Fractional positions:
1 Li 0.166 0.670 0.000
2 Li 0.330 0.497 0.667
3 Li 0.503 0.834 0.333
4 Sm 0.313 0.222 0.172
5 Sm 0.778 0.092 0.839
6 Sm 0.908 0.687 0.505
7 Pd 0.384 0.119 0.658
8 Pd 0.735 0.616 0.991
9 Pd 0.881 0.265 0.324

Main lines, in order of rising 2θ (2θ = 15–90°):
d (Å)  2θ (°)  Rel. int.
5.452  16.3  63
3.925  22.7  53
3.148  28.4  30
2.726  32.9  84
2.510  35.8  100
2.456  36.6  53
2.103  43.0  39
1.936  46.9  44
1.730  52.9  25
1.665  55.2  24

No. 2
Diffraction record for Pr3Nd2Hg6. The powder XRD pattern is theoretical, not measured: it uses a PBE-relaxed structure and Cu Kα, 1.54184 Å.
Neutral-atom scattering factors, no anomalous dispersion.

Structure:
a = 14.408 Å, b = 14.408 Å, c = 14.408 Å
α = 159.21°, β = 159.21°, γ = 29.56°
Fractional positions:
1 Pr 0.000 0.000 0.000
2 Pr 0.139 0.139 0.000
3 Pr 0.861 0.861 0.000
4 Nd 0.370 0.370 0.000
5 Nd 0.630 0.630 0.000
6 Hg 0.067 0.567 0.500
7 Hg 0.255 0.255 0.000
8 Hg 0.433 0.933 0.500
9 Hg 0.567 0.067 0.500
10 Hg 0.745 0.745 0.000
11 Hg 0.933 0.433 0.500

Main lines, in order of rising 2θ (2θ = 15–90°):
d (Å)  2θ (°)  Rel. int.
4.644  19.1  17
3.554  25.1  55
2.882  31.0  16
2.599  34.5  61
2.528  35.5  100
1.901  47.9  12
1.838  49.6  22
1.633  56.4  12
1.487  62.5  39
1.447  64.4  13

No. 3
Diffraction record for Er2CuTeS3. The powder XRD pattern is theoretical, not measured: it uses a PBE-relaxed structure and Cu Kα, 1.54184 Å.
Neutral-atom scattering factors, no anomalous dispersion.

Structure:
a = 7.963 Å, b = 7.963 Å, c = 7.963 Å
α = 58.37°, β = 58.37°, γ = 58.37°
Fractional positions:
1 Er 0.000 0.000 0.000
2 Er 0.000 0.000 0.500
3 Er 0.000 0.500 0.000
4 Er 0.500 0.000 0.000
5 Cu 0.401 0.401 0.401
6 Cu 0.599 0.599 0.599
7 Te 0.268 0.268 0.268
8 Te 0.732 0.732 0.732
9 S 0.234 0.752 0.752
10 S 0.248 0.248 0.766
11 S 0.248 0.766 0.248
12 S 0.752 0.234 0.752
13 S 0.752 0.752 0.234
14 S 0.766 0.248 0.248

Main lines, in order of rising 2θ (2θ = 15–90°):
d (Å)  2θ (°)  Rel. int.
3.883  22.9  26
3.344  26.7  73
3.315  26.9  37
2.779  32.2  100
2.601  34.5  28
2.122  42.6  21
1.990  45.6  43
1.941  46.8  57
1.888  48.2  24
1.592  57.9  18

No. 4
Diffraction record for Ba2TlHg10. The powder XRD pattern is theoretical, not measured: it uses a PBE-relaxed structure and Cu Kα, 1.54184 Å.
Neutral-atom scattering factors, no anomalous dispersion.

Structure:
a = 6.981 Å, b = 20.303 Å, c = 6.859 Å
α = 90.00°, β = 90.00°, γ = 90.00°
Fractional positions:
1 Ba 0.227 0.081 0.000
2 Ba 0.273 0.581 0.000
3 Ba 0.727 0.419 0.000
4 Ba 0.773 0.919 0.000
5 Tl 0.000 0.000 0.500
6 Tl 0.500 0.500 0.500
7 Hg 0.030 0.157 0.500
8 Hg 0.097 0.297 0.500
9 Hg 0.100 0.569 0.500
10 Hg 0.228 0.417 0.214
11 Hg 0.228 0.417 0.786
12 Hg 0.272 0.917 0.214
13 Hg 0.272 0.917 0.786
14 Hg 0.400 0.069 0.500
15 Hg 0.403 0.797 0.500
16 Hg 0.470 0.657 0.500
17 Hg 0.530 0.343 0.500
18 Hg 0.597 0.203 0.500
19 Hg 0.600 0.931 0.500
20 Hg 0.728 0.083 0.214
21 Hg 0.728 0.083 0.786
22 Hg 0.772 0.583 0.214
23 Hg 0.772 0.583 0.786
24 Hg 0.900 0.431 0.500
25 Hg 0.903 0.703 0.500
26 Hg 0.970 0.843 0.500

Main lines, in order of rising 2θ (2θ = 15–90°):
d (Å)  2θ (°)  Rel. int.
3.433  26.0  42
3.110  28.7  83
2.946  30.3  79
2.826  31.7  38
2.678  33.5  48
2.632  34.1  100
2.495  36.0  73
2.446  36.7  43
2.429  37.0  61
2.112  42.8  53

No. 5
Diffraction record for Rb2Sr2C3O9. The powder XRD pattern is theoretical, not measured: it uses a PBE-relaxed structure and Cu Kα, 1.54184 Å.
Neutral-atom scattering factors, no anomalous dispersion.

Structure:
a = 8.648 Å, b = 8.648 Å, c = 8.648 Å
α = 109.47°, β = 109.47°, γ = 109.47°
Fractional positions:
1 Rb 0.000 0.623 0.500
2 Rb 0.500 0.000 0.623
3 Rb 0.623 0.500 0.000
4 Rb 0.877 0.877 0.877
5 Sr 0.000 0.086 0.500
6 Sr 0.086 0.500 0.000
7 Sr 0.414 0.414 0.414
8 Sr 0.500 0.000 0.086
9 C 0.156 0.906 0.250
10 C 0.250 0.156 0.906
11 C 0.344 0.594 0.750
12 C 0.594 0.750 0.344
13 C 0.750 0.344 0.594
14 C 0.906 0.250 0.156
15 O 0.025 0.775 0.250
16 O 0.082 0.378 0.236
17 O 0.122 0.204 0.858
18 O 0.204 0.858 0.122
19 O 0.236 0.082 0.378
20 O 0.250 0.025 0.775
21 O 0.264 0.642 0.846
22 O 0.296 0.418 0.654
23 O 0.378 0.236 0.082
24 O 0.418 0.654 0.296
25 O 0.475 0.725 0.750
26 O 0.642 0.846 0.264
27 O 0.654 0.296 0.418
28 O 0.725 0.750 0.475
29 O 0.750 0.475 0.725
30 O 0.775 0.250 0.025
31 O 0.846 0.264 0.642
32 O 0.858 0.122 0.204

Main lines, in order of rising 2θ (2θ = 15–90°):
d (Å)  2θ (°)  Rel. int.
3.531  25.2  42
3.158  28.3  100
2.669  33.6  56
2.129  42.5  19
2.038  44.4  17
1.958  46.4  65
1.823  50.0  17
1.541  60.0  12
1.359  69.1  17
1.161  83.2  15

No. 6
Diffraction record for Sm3BeCrS7. The powder XRD pattern is theoretical, not measured: it uses a PBE-relaxed structure and Cu Kα, 1.54184 Å.
Neutral-atom scattering factors, no anomalous dispersion.

Structure:
a = 9.750 Å, b = 9.750 Å, c = 6.085 Å
α = 90.00°, β = 90.00°, γ = 120.00°
Fractional positions:
1 Sm 0.155 0.762 0.000
2 Sm 0.238 0.393 0.000
3 Sm 0.393 0.155 0.500
4 Sm 0.607 0.845 0.000
5 Sm 0.762 0.607 0.500
6 Sm 0.845 0.238 0.500
7 Be 0.333 0.667 0.588
8 Be 0.667 0.333 0.088
9 Cr 0.000 0.000 0.177
10 Cr 0.000 0.000 0.677
11 S 0.091 0.868 0.421
12 S 0.103 0.524 0.717
13 S 0.132 0.223 0.421
14 S 0.223 0.091 0.921
15 S 0.333 0.667 0.241
16 S 0.421 0.897 0.717
17 S 0.476 0.579 0.717
18 S 0.524 0.421 0.217
19 S 0.579 0.103 0.217
20 S 0.667 0.333 0.741
21 S 0.777 0.909 0.421
22 S 0.868 0.777 0.921
23 S 0.897 0.476 0.217
24 S 0.909 0.132 0.921

Main lines, in order of rising 2θ (2θ = 15–90°):
d (Å)  2θ (°)  Rel. int.
4.937  18.0  84
3.805  23.4  33
3.469  25.7  100
3.192  28.0  67
2.555  35.1  73
2.468  36.4  40
2.202  41.0  62
2.186  41.3  38
1.845  49.4  45
1.764  51.8  30

No. 7
Diffraction record for Zr2ScNb. The powder XRD pattern is theoretical, not measured: it uses a PBE-relaxed structure and Cu Kα, 1.54184 Å.
Neutral-atom scattering factors, no anomalous dispersion.

Structure:
a = 4.960 Å, b = 4.960 Å, c = 4.960 Å
α = 60.00°, β = 60.00°, γ = 60.00°
Fractional positions:
1 Zr 0.250 0.250 0.250
2 Zr 0.750 0.750 0.750
3 Sc 0.000 0.000 0.000
4 Nb 0.500 0.500 0.500

Main lines, in order of rising 2θ (2θ = 15–90°):
d (Å)  2θ (°)  Rel. int.
4.050  21.9  6
3.507  25.4  2
2.480  36.2  100
2.115  42.8  3
1.754  52.2  17
1.609  57.2  1
1.432  65.1  34
1.240  76.9  10
1.186  81.1  1
1.109  88.1  15

No. 8
Diffraction record for KNa2Sr2Sb2. The powder XRD pattern is theoretical, not measured: it uses a PBE-relaxed structure and Cu Kα, 1.54184 Å.
Neutral-atom scattering factors, no anomalous dispersion.

Structure:
a = 10.655 Å, b = 10.655 Å, c = 10.655 Å
α = 29.38°, β = 29.38°, γ = 29.38°
Fractional positions:
1 K 0.000 0.000 0.000
2 Na 0.402 0.402 0.402
3 Na 0.598 0.598 0.598
4 Sr 0.130 0.130 0.130
5 Sr 0.870 0.870 0.870
6 Sb 0.248 0.248 0.248
7 Sb 0.752 0.752 0.752

Main lines, in order of rising 2θ (2θ = 15–90°):
d (Å)  2θ (°)  Rel. int.
5.094  17.4  25
4.626  19.2  22
4.475  19.8  50
3.193  27.9  21
2.960  30.2  100
2.702  33.2  94
2.388  37.7  32
1.995  45.5  32
1.768  51.7  18
1.605  57.4  31

No. 9
Diffraction record for TbMg9Pd3. The powder XRD pattern is theoretical, not measured: it uses a PBE-relaxed structure and Cu Kα, 1.54184 Å.
Neutral-atom scattering factors, no anomalous dispersion.

Structure:
a = 7.547 Å, b = 7.547 Å, c = 7.174 Å
α = 97.70°, β = 97.70°, γ = 136.27°
Fractional positions:
1 Tb 0.000 0.000 0.000
2 Mg 0.000 0.000 0.500
3 Mg 0.018 0.665 0.674
4 Mg 0.296 0.519 0.787
5 Mg 0.335 0.982 0.326
6 Mg 0.481 0.704 0.213
7 Mg 0.519 0.296 0.787
8 Mg 0.665 0.018 0.674
9 Mg 0.704 0.481 0.213
10 Mg 0.982 0.335 0.326
11 Pd 0.000 0.500 0.000
12 Pd 0.500 0.000 0.000
13 Pd 0.500 0.500 0.500

Main lines, in order of rising 2θ (2θ = 15–90°):
d (Å)  2θ (°)  Rel. int.
4.839  18.3  38
4.807  18.5  56
3.502  25.4  46
3.447  25.8  60
3.346  26.6  38
2.828  31.6  37
2.456  36.6  100
2.420  37.2  86
2.404  37.4  66
1.724  53.1  33

No. 10
Diffraction record for NaZrSc. The powder XRD pattern is theoretical, not measured: it uses a PBE-relaxed structure and Cu Kα, 1.54184 Å.
Neutral-atom scattering factors, no anomalous dispersion.

Structure:
a = 3.734 Å, b = 3.734 Å, c = 12.234 Å
α = 90.00°, β = 90.00°, γ = 90.00°
Fractional positions:
1 Na 0.250 0.250 0.107
2 Na 0.750 0.750 0.893
3 Zr 0.250 0.250 0.445
4 Zr 0.750 0.750 0.555
5 Sc 0.250 0.250 0.695
6 Sc 0.750 0.750 0.305

Main lines, in order of rising 2θ (2θ = 15–90°):
d (Å)  2θ (°)  Rel. int.
2.754  32.5  100
2.641  34.0  74
2.581  34.8  36
2.366  38.0  63
2.047  44.3  23
1.867  48.8  25
1.846  49.4  13
1.545  59.8  32
1.466  63.5  26
1.379  68.0  12

No. 11
Diffraction record for Hf2Zr4ScPa. The powder XRD pattern is theoretical, not measured: it uses a PBE-relaxed structure and Cu Kα, 1.54184 Å.
Neutral-atom scattering factors, no anomalous dispersion.

Structure:
a = 6.446 Å, b = 6.446 Å, c = 11.116 Å
α = 107.45°, β = 107.45°, γ = 59.40°
Fractional positions:
1 Hf 0.000 0.000 0.000
2 Hf 0.000 0.000 0.500
3 Hf 0.000 0.500 0.000
4 Hf 0.500 0.000 0.000
5 Zr 0.246 0.246 0.751
6 Zr 0.248 0.248 0.243
7 Zr 0.248 0.749 0.250
8 Zr 0.251 0.752 0.750
9 Zr 0.749 0.248 0.250
10 Zr 0.752 0.251 0.750
11 Zr 0.752 0.752 0.757
12 Zr 0.754 0.754 0.249
13 Sc 0.000 0.500 0.500
14 Sc 0.500 0.000 0.500
15 Pa 0.500 0.500 0.000
16 Pa 0.500 0.500 0.500

Main lines, in order of rising 2θ (2θ = 15–90°):
d (Å)  2θ (°)  Rel. int.
5.216  17.0  16
2.627  34.1  50
2.619  34.2  100
2.608  34.4  49
2.288  39.4  34
2.258  39.9  65
1.611  57.2  23
1.602  57.5  22
1.596  57.8  23
1.365  68.8  26

No. 12
Diffraction record for Ce7Ga3Pb. The powder XRD pattern is theoretical, not measured: it uses a PBE-relaxed structure and Cu Kα, 1.54184 Å.
Neutral-atom scattering factors, no anomalous dispersion.

Structure:
a = 7.880 Å, b = 7.880 Å, c = 5.887 Å
α = 111.73°, β = 111.73°, γ = 93.12°
Fractional positions:
1 Ce 0.000 0.000 0.000
2 Ce 0.111 0.577 0.344
3 Ce 0.350 0.350 0.851
4 Ce 0.423 0.889 0.656
5 Ce 0.577 0.111 0.344
6 Ce 0.650 0.650 0.149
7 Ce 0.889 0.423 0.656
8 Ga 0.263 0.737 0.000
9 Ga 0.500 0.500 0.500
10 Ga 0.737 0.263 0.000
11 Pb 0.000 0.000 0.500

Main lines, in order of rising 2θ (2θ = 15–90°):
d (Å)  2θ (°)  Rel. int.
5.235  16.9  15
3.569  25.0  19
3.201  27.9  16
2.943  30.4  100
2.861  31.3  63
2.449  36.7  54
2.440  36.8  53
2.052  44.1  49
1.588  58.1  14
1.557  59.4  17